Starting from a crystal structure in Alexandria, relaxed with GGA+U, the powder XRD pattern of CrAg2HgO4 was calculated for Cu Kα X-rays.
Peak positions follow from Bragg's law for the DFT cell and can differ from measured ones.

Largest 6 diffraction maxima, in order of rising 2θ, 10° ≤ 2θ ≤ 90°:
- (1 0 1), 18.86 deg, d 4.704, rel. 191
- (2 0 0), 30.66 deg, d 2.916, rel. 449
- (1 1 2), 31.24 deg, d 2.863, rel. 1000
- (2 2 0), 43.90 deg, d 2.062, rel. 203
- (3 1 2), 54.86 deg, d 1.673, rel. 387
- (2 0 4), 55.95 deg, d 1.643, rel. 204

Structure:
```
CrAg2HgO4
1.0
5.8329 0.0000 0.0000
0.0000 5.8329 0.0000
0.0000 0.0000 7.9568
Cr Ag Hg O
2 4 2 8
direct
0.0000 0.0000 0.0000
0.5000 0.5000 0.5000
0.0000 0.5000 0.2500
0.0000 0.5000 0.7500
0.5000 0.0000 0.2500
0.5000 0.0000 0.7500
0.0000 0.0000 0.5000
0.5000 0.5000 0.0000
0.1656 0.1656 0.8758
0.1656 0.8344 0.1242
0.3344 0.3344 0.3758
0.3344 0.6656 0.6242
0.6656 0.3344 0.6242
0.6656 0.6656 0.3758
0.8344 0.1656 0.1242
0.8344 0.8344 0.8758
```